The following is a calculated PXRD pattern of Ca3CrN3. It was derived from DFT lattice parameters and positions (GGA-PBE), using λ = 1.5418 Å (Cu Kα).
Peak positions follow from Bragg's law for the DFT cell and can differ from measured ones.

Crystal structure
Cell lengths 6.648, 6.648, 5.059 Å; angles 90.00, 90.00, 101.23 degrees
Positions (direct):
Ca1 0.107 0.893 0.750
Ca2 0.169 0.404 0.750
Ca3 0.404 0.169 0.250
Ca4 0.596 0.831 0.750
Ca5 0.831 0.596 0.250
Ca6 0.893 0.107 0.250
Cr1 0.304 0.696 0.250
Cr2 0.696 0.304 0.750
N1 0.127 0.873 0.250
N2 0.182 0.434 0.250
N3 0.434 0.182 0.750
N4 0.566 0.818 0.250
N5 0.818 0.566 0.750
N6 0.873 0.127 0.750

Peak list (6 most intense, 5 to 70 degrees two-theta, in order of rising 2θ)
2θ = 32.68°, d = 2.740 Å, I = 100.0; 2θ = 33.02°, d = 2.712 Å, I = 24.4; 2θ = 33.33°, d = 2.688 Å, I = 30.5; 2θ = 34.93°, d = 2.569 Å, I = 34.7; 2θ = 35.49°, d = 2.529 Å, I = 71.8; 2θ = 55.38°, d = 1.659 Å, I = 23.0